The following is a calculated XRD peak list of Sn2SbSCl. It was derived from a PBE-relaxed structure, using Cu Kα X-rays.

Main lines, by intensity (15° ≤ 2θ ≤ 90°):
| Position (°2θ) | d [Å] | intensity |
| --- | --- | --- |
| 30.54 | 2.927 | 100 |
| 35.44 | 2.533 | 96 |
| 47.48 | 1.915 | 86 |
| 17.52 | 5.062 | 84 |
| 27.84 | 3.205 | 50 |
| 15.13 | 5.855 | 44 |
| 43.73 | 2.070 | 37 |
| 57.52 | 1.602 | 33 |

Structure:
Cell: 5.855 5.855 5.062 Å, 90.00 90.00 90.00°
Element x y z (fractional)
Sn: 0.000 0.500 0.000
Sn: 0.500 0.000 0.000
Sb: 0.000 0.000 0.000
S: 0.500 0.500 0.500
Cl: 0.000 0.000 0.500

---

The following is a calculated XRD peak list of Cs3Tl8Pd3. It was derived from a PBE-relaxed structure, using Cu Kα X-rays.

Main lines, by intensity (15° ≤ 2θ ≤ 90°):
| Position (°2θ) | d [Å] | intensity |
| --- | --- | --- |
| 27.46 | 3.248 | 100 |
| 34.27 | 2.616 | 53 |
| 38.63 | 2.331 | 44 |
| 35.71 | 2.514 | 39 |
| 37.35 | 2.408 | 35 |
| 51.12 | 1.787 | 30 |
| 29.10 | 3.068 | 28 |
| 38.17 | 2.358 | 24 |

Structure:
Cell: 9.841 9.841 9.841 Å, 149.16 101.68 86.50°
Element x y z (fractional)
Cs: 0.000 0.000 0.000
Cs: 0.331 0.331 0.000
Cs: 0.669 0.669 0.000
Tl: 0.018 0.674 0.343
Tl: 0.193 0.894 0.299
Tl: 0.331 0.674 0.657
Tl: 0.405 0.106 0.299
Tl: 0.595 0.894 0.701
Tl: 0.669 0.326 0.343
Tl: 0.807 0.106 0.701
Tl: 0.982 0.326 0.657
Pd: 0.255 0.500 0.755
Pd: 0.500 0.000 0.500
Pd: 0.745 0.500 0.245

---

The following is a calculated XRD peak list of Na2Pm3PrSe6. It was derived from a PBE-relaxed structure, using Cu Kα X-rays.

Main lines, by intensity (15° ≤ 2θ ≤ 90°):
| Position (°2θ) | d [Å] | intensity |
| --- | --- | --- |
| 29.88 | 2.990 | 100 |
| 42.60 | 2.122 | 38 |
| 42.92 | 2.107 | 37 |
| 53.18 | 1.722 | 20 |
| 70.63 | 1.334 | 17 |
| 78.43 | 1.219 | 12 |
| 62.08 | 1.495 | 12 |
| 70.19 | 1.341 | 11 |

Structure:
Cell: 7.298 7.298 7.368 Å, 99.50 99.50 119.96°
Element x y z (fractional)
Na: 0.166 0.834 0.000
Na: 0.834 0.166 0.000
Pm: 0.000 0.000 0.500
Pm: 0.332 0.668 0.500
Pm: 0.668 0.332 0.500
Pr: 0.500 0.500 0.000
Se: 0.082 0.416 0.747
Se: 0.252 0.252 0.256
Se: 0.416 0.082 0.747
Se: 0.584 0.918 0.253
Se: 0.748 0.748 0.744
Se: 0.918 0.584 0.253

---

The following is a calculated XRD peak list of Th6Hg2C3. It was derived from a PBE-relaxed structure, using Cu Kα X-rays.

Main lines, by intensity (15° ≤ 2θ ≤ 90°):
| Position (°2θ) | d [Å] | intensity |
| --- | --- | --- |
| 31.68 | 2.825 | 100 |
| 33.41 | 2.682 | 61 |
| 33.30 | 2.690 | 52 |
| 31.45 | 2.844 | 48 |
| 49.32 | 1.848 | 39 |
| 28.75 | 3.105 | 38 |
| 60.69 | 1.526 | 33 |
| 33.81 | 2.651 | 27 |

Structure:
Cell: 6.412 6.412 8.379 Å, 97.69 97.69 120.16°
Element x y z (fractional)
Th: 0.103 0.437 0.818
Th: 0.229 0.229 0.172
Th: 0.437 0.103 0.818
Th: 0.563 0.897 0.182
Th: 0.771 0.771 0.828
Th: 0.897 0.563 0.182
Hg: 0.342 0.658 0.500
Hg: 0.658 0.342 0.500
C: 0.174 0.826 0.000
C: 0.500 0.500 0.000
C: 0.826 0.174 0.000

---

The following is a calculated XRD peak list of Mg7Si4. It was derived from a PBE-relaxed structure, using Cu Kα X-rays.

Main lines, by intensity (15° ≤ 2θ ≤ 90°):
| Position (°2θ) | d [Å] | intensity |
| --- | --- | --- |
| 36.14 | 2.485 | 100 |
| 36.88 | 2.437 | 79 |
| 39.90 | 2.259 | 68 |
| 39.10 | 2.304 | 63 |
| 34.58 | 2.594 | 59 |
| 34.24 | 2.619 | 52 |
| 39.69 | 2.271 | 49 |
| 35.53 | 2.527 | 43 |

Structure:
Cell: 5.279 6.236 13.500 Å, 87.68 84.46 85.71°
Element x y z (fractional)
Mg: 0.000 0.000 0.000
Mg: 0.020 0.017 0.227
Mg: 0.070 0.501 0.085
Mg: 0.222 0.572 0.293
Mg: 0.277 0.017 0.736
Mg: 0.309 0.538 0.702
Mg: 0.337 0.782 0.500
Mg: 0.517 0.785 0.107
Mg: 0.560 0.266 0.156
Mg: 0.711 0.340 0.379
Mg: 0.747 0.253 0.782
Mg: 0.789 0.757 0.798
Mg: 0.817 0.012 0.582
Mg: 0.844 0.505 0.582
Si: 0.134 0.358 0.883
Si: 0.227 0.191 0.388
Si: 0.314 0.699 0.898
Si: 0.334 0.243 0.554
Si: 0.498 0.125 0.963
Si: 0.524 0.925 0.304
Si: 0.689 0.468 0.967
Si: 0.837 0.762 0.413

---

The following is a calculated XRD peak list of LiGa4Rh3. It was derived from a PBE-relaxed structure, using Cu Kα X-rays.

Main lines, by intensity (15° ≤ 2θ ≤ 90°):
| Position (°2θ) | d [Å] | intensity |
| --- | --- | --- |
| 42.07 | 2.148 | 100 |
| 42.23 | 2.140 | 99 |
| 61.13 | 1.516 | 32 |
| 77.10 | 1.237 | 32 |
| 76.76 | 1.242 | 16 |
| 77.22 | 1.235 | 16 |
| 24.38 | 3.650 | 12 |
| 25.47 | 3.496 | 11 |

Structure:
Cell: 7.450 7.450 7.450 Å, 33.38 33.38 33.38°
Element x y z (fractional)
Li: 0.000 0.000 0.000
Ga: 0.125 0.125 0.125
Ga: 0.374 0.374 0.374
Ga: 0.626 0.626 0.626
Ga: 0.875 0.875 0.875
Rh: 0.251 0.251 0.251
Rh: 0.500 0.500 0.500
Rh: 0.749 0.749 0.749